# Sm2MgMo2I8O30
Theoretical powder X-ray diffraction pattern, copper Kα. Input: DFT lattice parameters and positions (GGA+U).
Lines closer than 0.1° are merged.

Structure:
```
Sm2MgMo2I8O30
1.0
7.1407 0.0000 0.0000
-2.8903 6.5599 0.0000
-0.1701 -0.1362 14.5467
Sm Mg Mo I O
2 1 2 8 30
direct
0.0000 0.0000 0.0000
0.1875 0.8656 0.4764
0.1575 0.5246 0.6852
0.5125 0.6430 0.8221
0.6769 0.2017 0.3176
0.2526 0.3785 0.3582
0.3232 0.5621 0.0970
0.3238 0.1091 0.7410
0.5918 0.1729 0.0816
0.5996 0.6866 0.5737
0.8344 0.2801 0.5623
0.8404 0.7156 0.2386
0.9264 0.4796 0.8708
0.0025 0.8301 0.1409
0.0282 0.8044 0.3322
0.0504 0.5452 0.5630
0.1254 0.3007 0.0866
0.1432 0.0302 0.8341
0.1653 0.9840 0.6425
0.1976 0.1998 0.4556
0.3232 0.6080 0.2197
0.3270 0.5100 0.9058
0.3281 0.6161 0.4226
0.3321 0.3775 0.7233
0.3443 0.7505 0.7632
0.3539 0.0514 0.0160
0.4813 0.0259 0.3852
0.4814 0.1173 0.1980
0.4961 0.8865 0.5739
0.5194 0.4114 0.3361
0.5557 0.5126 0.0898
0.6103 0.3379 0.5686
0.6579 0.4392 0.8388
0.6802 0.9633 0.0738
0.6950 0.7201 0.6952
0.7040 0.8355 0.8850
0.8168 0.0666 0.2755
0.8359 0.8248 0.5142
0.8426 0.4555 0.2271
0.8553 0.2392 0.9284
0.8582 0.3496 0.4103
0.8868 0.2874 0.6908
0.9770 0.6565 0.9663
```

Largest 6 diffraction maxima, in order of rising 2θ, 2θ from 10° to 90°:
2θ (°), d/Å, I_rel
22.69, 3.920, 71.0
22.96, 3.873, 57.5
25.00, 3.561, 62.0
25.75, 3.460, 100.0
27.87, 3.202, 53.9
27.94, 3.193, 44.8

---

# Sm2MgMo2I8O30
Theoretical powder X-ray diffraction pattern, copper Kα. Input: DFT lattice parameters and positions (GGA+U).
Lines closer than 0.1° are merged.

Structure:
```
Sm2MgMo2I8O30
1.0
6.9044 0.0000 0.0000
-2.9667 6.6331 0.0000
-0.5716 -0.6646 14.7098
Sm Mg Mo I O
2 1 2 8 30
direct
0.0000 0.0000 0.0000
0.2519 0.8990 0.4646
0.0939 0.8008 0.6898
0.5262 0.6561 0.8073
0.7346 0.2406 0.3113
0.2935 0.4014 0.3557
0.3321 0.5754 0.0953
0.4383 0.1867 0.7141
0.6137 0.1995 0.0762
0.6454 0.7110 0.5659
0.8698 0.7391 0.2322
0.9256 0.3367 0.5804
0.9648 0.4906 0.8631
0.0064 0.6683 0.9589
0.0276 0.8479 0.1352
0.0743 0.8370 0.3236
0.1073 0.6107 0.5869
0.1289 0.3146 0.0842
0.2281 0.0508 0.7907
0.2514 0.2262 0.4480
0.2542 0.0430 0.6159
0.3361 0.5365 0.8898
0.3603 0.6270 0.2170
0.3660 0.0888 0.0066
0.3776 0.6380 0.4255
0.3807 0.7758 0.7468
0.3886 0.4188 0.7032
0.5088 0.1498 0.1903
0.5394 0.0578 0.3746
0.5729 0.4435 0.3348
0.5750 0.5338 0.0805
0.5815 0.9328 0.5658
0.6715 0.3601 0.5680
0.6776 0.4485 0.8291
0.6834 0.9789 0.0640
0.7419 0.8448 0.8707
0.7798 0.7514 0.6855
0.8728 0.1093 0.2613
0.8800 0.4868 0.2184
0.8828 0.8161 0.5029
0.8879 0.2522 0.9163
0.9186 0.2976 0.7020
0.9359 0.3868 0.3995
```

Largest 6 diffraction maxima, in order of rising 2θ, 2θ from 10° to 90°:
2θ (°), d/Å, I_rel
22.38, 3.973, 81.4
23.59, 3.772, 100.0
24.71, 3.603, 83.6
26.39, 3.377, 72.9
26.81, 3.325, 72.1
28.67, 3.113, 99.5

---

# Sm2MgMo2I8O30
Theoretical powder X-ray diffraction pattern, copper Kα. Input: DFT lattice parameters and positions (GGA+U).
Lines closer than 0.1° are merged.

Structure:
```
Sm2MgMo2I8O30
1.0
7.1247 0.0000 0.0000
3.0332 6.5098 0.0000
0.0677 0.6794 14.4162
Sm Mg Mo I O
2 1 2 8 30
direct
0.0000 0.0000 0.0000
0.1878 0.1202 0.4758
0.2878 0.1734 0.7113
0.5028 0.3436 0.1618
0.6771 0.7848 0.6582
0.2438 0.6344 0.6303
0.3230 0.4467 0.9061
0.3469 0.8540 0.2390
0.5897 0.3223 0.4014
0.5927 0.8373 0.9058
0.8158 0.2856 0.7540
0.8719 0.7004 0.3775
0.9324 0.5102 0.1177
0.0062 0.1695 0.8467
0.0113 0.1971 0.6621
0.0760 0.4380 0.3962
0.1314 0.7126 0.8960
0.1474 0.9549 0.1491
0.1875 0.9640 0.3393
0.2040 0.7773 0.5190
0.2850 0.3798 0.5932
0.3080 0.3963 0.7796
0.3161 0.4999 0.0707
0.3444 0.5945 0.2555
0.3627 0.9480 0.9750
0.3650 0.2070 0.2085
0.4300 0.9774 0.6074
0.4635 0.9062 0.7873
0.5074 0.1108 0.4186
0.5246 0.5689 0.6475
0.5610 0.4848 0.8928
0.6373 0.6537 0.3854
0.6608 0.5525 0.1400
0.6749 0.0490 0.9071
0.7027 0.2541 0.2856
0.7035 0.1647 0.0969
0.7991 0.9329 0.7014
0.8264 0.5459 0.7559
0.8301 0.2022 0.4688
0.8355 0.6742 0.5641
0.8569 0.7521 0.0490
0.8726 0.7394 0.2525
0.9842 0.3393 0.0204
```

Largest 6 diffraction maxima, in order of rising 2θ, 2θ from 10° to 90°:
2θ (°), d/Å, I_rel
23.24, 3.827, 42.3
24.92, 3.573, 57.4
25.81, 3.452, 63.8
25.91, 3.439, 100.0
28.41, 3.141, 46.9
28.52, 3.130, 44.6

---

# Sm2MgMo2I8O30
Theoretical powder X-ray diffraction pattern, copper Kα. Input: DFT lattice parameters and positions (GGA+U).
Lines closer than 0.1° are merged.

Structure:
```
Sm2MgMo2I8O30
1.0
7.2101 0.0000 0.0000
3.0441 6.5713 0.0000
0.4889 0.1527 14.2817
Sm Mg Mo I O
2 1 2 8 30
direct
0.0000 0.0000 0.0000
0.1408 0.2007 0.4872
0.1306 0.3318 0.9020
0.3163 0.5698 0.8118
0.7898 0.6996 0.3256
0.2773 0.8614 0.2450
0.3185 0.6041 0.5661
0.4393 0.3406 0.1003
0.5295 0.9488 0.8444
0.6357 0.2692 0.3637
0.6961 0.8769 0.5881
0.8148 0.6103 0.0845
0.8345 0.3824 0.7283
0.0301 0.6865 0.0651
0.1078 0.5240 0.5701
0.1444 0.7881 0.8715
0.1499 0.4543 0.7759
0.1738 0.0013 0.1367
0.1779 0.0663 0.3288
0.1995 0.8402 0.5006
0.2709 0.7224 0.6856
0.3109 0.0406 0.9367
0.3957 0.3275 0.4284
0.3975 0.3902 0.9112
0.4035 0.3443 0.2263
0.4305 0.0660 0.5915
0.4964 0.5645 0.0846
0.5401 0.8552 0.2272
0.5502 0.6848 0.8371
0.5839 0.5423 0.3455
0.5857 0.3575 0.7330
0.6505 0.8826 0.4151
0.6601 0.6404 0.5844
0.6973 0.1366 0.0848
0.7411 0.8865 0.9217
0.7478 0.8652 0.7158
0.8036 0.2147 0.4640
0.8824 0.4902 0.1993
0.9291 0.8264 0.2715
0.9333 0.2370 0.8387
0.9470 0.3739 0.0151
0.9709 0.1933 0.6406
0.9712 0.4947 0.3891
```

Largest 6 diffraction maxima, in order of rising 2θ, 2θ from 10° to 90°:
2θ (°), d/Å, I_rel
22.81, 3.898, 60.9
24.80, 3.590, 68.4
25.34, 3.515, 99.8
25.64, 3.474, 100.0
28.16, 3.169, 57.3
29.78, 3.000, 52.8

---

# Sm2MgMo2I8O30
Theoretical powder X-ray diffraction pattern, copper Kα. Input: DFT lattice parameters and positions (GGA+U).
Lines closer than 0.1° are merged.

Structure:
```
Sm2MgMo2I8O30
1.0
6.9824 0.0000 0.0000
3.0224 6.5264 0.0000
0.5050 0.0148 14.3422
Sm Mg Mo I O
2 1 2 8 30
direct
0.0000 0.0000 0.0000
0.1414 0.1515 0.4937
0.5988 0.1991 0.6011
0.4788 0.3656 0.1587
0.6464 0.7986 0.6671
0.2070 0.6421 0.6351
0.3101 0.8797 0.2480
0.3181 0.4401 0.8904
0.5303 0.3537 0.3958
0.6064 0.8206 0.9103
0.8336 0.7133 0.3896
0.8397 0.2962 0.7644
0.9218 0.5202 0.1204
0.0376 0.4503 0.4017
0.0396 0.1629 0.8481
0.1208 0.9715 0.1560
0.1244 0.7073 0.8896
0.1395 0.9859 0.3511
0.1543 0.8162 0.5356
0.2905 0.5063 0.0709
0.3015 0.3971 0.5701
0.3123 0.6173 0.2591
0.3361 0.3883 0.7634
0.3382 0.2349 0.2128
0.3641 0.9408 0.9793
0.4521 0.9839 0.5928
0.4615 0.1323 0.4139
0.4803 0.8730 0.7920
0.4935 0.5968 0.6476
0.5622 0.4783 0.8984
0.5929 0.6689 0.4030
0.6402 0.5657 0.1442
0.6856 0.0352 0.9065
0.6872 0.1775 0.0937
0.6865 0.2726 0.2876
0.7467 0.2418 0.4836
0.7634 0.9746 0.6933
0.8345 0.7532 0.2650
0.8466 0.5530 0.7657
0.8469 0.7598 0.0548
0.8569 0.6440 0.5874
0.9753 0.2118 0.6496
0.9772 0.3434 0.0223
```

Largest 6 diffraction maxima, in order of rising 2θ, 2θ from 10° to 90°:
2θ (°), d/Å, I_rel
23.01, 3.865, 94.1
24.88, 3.578, 100.0
25.58, 3.482, 66.8
26.14, 3.410, 68.5
26.57, 3.355, 67.2
28.41, 3.142, 78.4

---

# NaMgNiIO6
Theoretical powder X-ray diffraction pattern, copper Kα. Input: DFT lattice parameters and positions (GGA+U).
Lines closer than 0.1° are merged.

Structure:
```
NaMgNiIO6
1.0
5.2206 0.0000 0.0000
-2.6103 4.5211 0.0000
0.0000 0.0000 5.7724
Na Mg Ni I O
1 1 1 1 6
direct
0.0000 0.0000 0.0000
0.0000 0.0000 0.5000
0.3333 0.6667 0.5000
0.6667 0.3333 0.5000
0.3578 0.0271 0.6818
0.3578 0.3306 0.3182
0.6694 0.0271 0.3182
0.6694 0.6422 0.6818
0.9729 0.3306 0.6818
0.9729 0.6422 0.3182
```

Largest 6 diffraction maxima, in order of rising 2θ, 2θ from 10° to 90°:
2θ (°), d/Å, I_rel
15.35, 5.772, 100.0
19.64, 4.521, 18.2
25.02, 3.559, 40.3
34.36, 2.610, 26.4
37.83, 2.378, 38.6
46.93, 1.936, 44.1

---

# NaMgNiIO6
Theoretical powder X-ray diffraction pattern, copper Kα. Input: DFT lattice parameters and positions (GGA+U).
Lines closer than 0.1° are merged.

Structure:
```
NaMgNiIO6
1.0
5.2266 0.0000 0.0000
2.3769 4.7056 0.0000
1.9044 -0.8188 5.0798
Na Mg Ni I O
1 1 1 1 6
direct
0.0000 0.0000 0.0000
0.5917 0.6381 0.1452
0.4785 0.2920 0.6145
0.8345 0.6325 0.5801
0.0152 0.4024 0.8105
0.2408 0.5699 0.3831
0.4668 0.6247 0.8216
0.6454 0.8947 0.3695
0.6988 0.9694 0.8070
0.8597 0.3394 0.3598
```

Largest 6 diffraction maxima, in order of rising 2θ, 2θ from 10° to 90°:
2θ (°), d/Å, I_rel
17.46, 5.080, 100.0
19.10, 4.646, 50.8
20.56, 4.321, 46.7
23.66, 3.761, 33.9
29.97, 2.982, 30.5
40.99, 2.202, 29.1

---

# NaMgNiIO6
Theoretical powder X-ray diffraction pattern, copper Kα. Input: DFT lattice parameters and positions (GGA+U).
Lines closer than 0.1° are merged.

Structure:
```
NaMgNiIO6
1.0
2.5852 -4.4698 0.0000
2.5852 4.4698 0.0000
-0.0034 0.0000 5.0120
Na Mg Ni I O
1 1 1 1 6
direct
0.0000 0.0000 0.0000
0.3343 0.6657 0.0000
0.3324 0.6676 0.5000
0.6662 0.3338 0.5000
0.3804 0.0153 0.7238
0.3798 0.3669 0.2764
0.6329 0.0143 0.2762
0.6331 0.6202 0.7236
0.9847 0.6196 0.2762
0.9857 0.3671 0.7238
```

Largest 6 diffraction maxima, in order of rising 2θ, 2θ from 10° to 90°:
2θ (°), d/Å, I_rel
17.70, 5.012, 64.0
19.85, 4.474, 64.4
26.71, 3.338, 100.0
34.73, 2.583, 53.2
39.24, 2.296, 47.4
50.76, 1.799, 73.3

---

# NaMgNiIO6
Theoretical powder X-ray diffraction pattern, copper Kα. Input: DFT lattice parameters and positions (GGA+U).
Lines closer than 0.1° are merged.

Structure:
```
NaMgNiIO6
1.0
2.6404 -4.5686 0.0000
2.6404 4.5686 0.0000
-0.0010 0.0000 5.3263
Na Mg Ni I O
1 1 1 1 6
direct
0.0000 0.0000 0.0000
0.6665 0.3335 0.0000
0.3340 0.6660 0.5000
0.6673 0.3327 0.5000
0.3958 0.3625 0.2815
0.3965 0.0322 0.7187
0.6373 0.0318 0.2810
0.6375 0.6042 0.7185
0.9682 0.3627 0.7190
0.9678 0.6035 0.2813
```

Largest 6 diffraction maxima, in order of rising 2θ, 2θ from 10° to 90°:
2θ (°), d/Å, I_rel
16.64, 5.326, 69.3
19.42, 4.571, 100.0
25.68, 3.469, 74.6
33.97, 2.639, 52.3
38.05, 2.365, 45.2
48.57, 1.875, 74.7